Cs2Cr4CdH4O16: calculated powder X-ray diffraction pattern (a wavelength of 1.5418 Å), based on a cell relaxed with PBE+U.
Kinematic intensities with the Lorentz-polarization factor, no thermal factor.

Top 6 peaks for 15° ≤ 2θ ≤ 90°, most intense first:
2θ (°)  I (rel.)  h k l
23.93  100  1 -2 0
26.24  97  2 0 0
24.64  76  -1 1 2
18.40  57  1 1 0
17.68  51  1 1 -1
21.87  39  1 0 1

Structure:
a b c (Å): 7.7813 8.1250 8.1532
angles (deg): 91.18 117.91 97.42
Positions (direct):
Cs (0.2413, 0.3339, 0.2570)
Cs (0.7587, 0.6661, 0.7430)
Cr (0.2092, 0.3494, 0.7587)
Cr (0.2379, 0.8337, 0.4951)
Cr (0.7621, 0.1663, 0.5049)
Cr (0.7908, 0.6506, 0.2413)
Cd (0.5000, 0.0000, 0.0000)
H (0.2562, 0.6983, 0.9747)
H (0.3050, 0.7932, 0.1661)
H (0.6950, 0.2068, 0.8339)
H (0.7438, 0.3017, 0.0253)
O (0.0104, 0.7150, 0.4563)
O (0.1686, 0.4910, 0.8781)
O (0.1979, 0.0144, 0.4213)
O (0.2729, 0.1892, 0.8837)
O (0.2742, 0.8114, 0.0352)
O (0.3251, 0.7372, 0.3784)
O (0.3780, 0.4262, 0.7068)
O (0.3974, 0.8508, 0.7206)
O (0.6026, 0.1492, 0.2794)
O (0.6220, 0.5738, 0.2932)
O (0.6749, 0.2628, 0.6216)
O (0.7258, 0.1886, 0.9648)
O (0.7271, 0.8108, 0.1163)
O (0.8021, 0.9856, 0.5787)
O (0.8314, 0.5090, 0.1219)
O (0.9896, 0.2850, 0.5437)